# Tb2PmMoO8
Simulated X-ray powder pattern, Cu Kα X-rays. Input: a DFT-relaxed cell (PBE+U, Alexandria).

Principal peaks in the range 2θ = 10–90°, by intensity:
2θ = 31.2°, I = 100.0; 2θ = 24.7°, I = 58.3; 2θ = 24.8°, I = 55.0; 2θ = 47.7°, I = 40.2; 2θ = 47.9°, I = 38.0; 2θ = 35.3°, I = 28.6; 2θ = 60.8°, I = 22.5; 2θ = 65.1°, I = 11.3; 2θ = 59.1°, I = 10.7; 2θ = 57.4°, I = 9.8

Atomic structure:
a = 5.0869 Å, b = 6.9307 Å, c = 5.0872 Å
α = 90.00°, β = 90.43°, γ = 90.00°
Positions (direct):
Tb 0.0000 0.2453 0.0000
Tb 0.0000 0.7547 0.0000
Pm 0.5000 0.5000 0.5000
Mo 0.5000 0.0000 0.5000
O 0.1869 0.5000 0.1856
O 0.2272 0.0000 0.2261
O 0.3162 0.2065 0.6828
O 0.3162 0.7935 0.6828
O 0.6838 0.2065 0.3172
O 0.6838 0.7935 0.3172
O 0.7728 0.0000 0.7739
O 0.8131 0.5000 0.8144